Calculated powder XRD pattern
Compound: Ho2AlSi2
Radiation: Cu Ka
Structure: DFT lattice parameters and positions (GGA-PBE)
Peak positions follow from Bragg's law for the DFT cell and can differ from measured ones.

Largest 10 diffraction maxima, by intensity, 2θ from 10° to 90°:
two_theta  I_rel
34.07  100
26.85  69
37.32  35
20.59  32
30.78  28
34.81  23
38.40  21
67.20  19
44.79  18
59.67  18

Unit cell a=5.5809 b=5.5809 c=5.5809 alpha=137.48 beta=117.26 gamma=78.75
Fractional positions:
Ho 0.2111 0.2111 0.0000
Ho 0.7889 0.7889 0.0000
Al 0.5000 0.0000 0.5000
Si 0.2109 0.5000 0.7109
Si 0.7891 0.5000 0.2891